HfGaAg: computed XRD peak list (λ = 1.5418 Å (Cu Kα)), based on a crystal structure in Alexandria, relaxed with PBE.

Structural model:
Unit cell a=4.436 b=3.675 c=7.103 alpha=90.00 beta=108.13 gamma=90.00
Space group P2_1/m (No. 11)
Symmetry-distinct sites (fractional):
Hf  0.087  0.250  0.176
Ga  0.424  0.250  0.849
Ag  0.266  0.750  0.533

Principal peaks in the range 5° ≤ 2θ ≤ 70°, in order of rising 2θ:
hkl 1 0 0, 2θ 21.1, I = 9
hkl 0 1 1, 2θ 27.6, I = 13
hkl 1 1 1, 2θ 37.5, I = 100
hkl 1 0 -3, 2θ 39.1, I = 10
hkl 0 0 3, 2θ 40.1, I = 19
hkl 2 0 -1, 2θ 40.7, I = 21
hkl 0 2 0, 2θ 49.6, I = 12
hkl 2 0 2, 2θ 58.4, I = 12
hkl 0 2 3, 2θ 65.6, I = 8
hkl 2 2 -1, 2θ 66.0, I = 10